# 1
Theoretical PXRD pattern of MgCr2W2O8 for λ = 1.5418 Å (Cu Kα), from a crystal structure in the Materials Project, relaxed with PBE+U.

Atomic structure:
```
MgCr2W2O8
1.0
5.254 0.000 0.000
1.104 5.947 0.000
1.187 2.740 5.365
Mg Cr W O
1 2 2 8
Cartesian
0.000 0.000 0.000 Mg
4.625 2.432 3.336 Cr
4.586 3.981 0.728 Cr
3.074 5.694 3.506 W
2.040 1.560 0.944 W
2.071 4.232 4.528 O
2.099 5.890 1.655 O
4.157 7.316 2.807 O
3.020 3.046 0.007 O
4.061 4.184 2.618 O
3.232 0.052 0.052 O
5.676 2.601 1.653 O
6.945 7.035 4.370 O
```

Most intense lines, 2θ from 5° to 70°, in order of falling intensity:
- d 5.115, intensity 100
- d 4.092, intensity 78
- d 3.276, intensity 65
- d 2.681, intensity 46
- d 1.978, intensity 21
- d 2.657, intensity 20
- d 2.648, intensity 20
- d 2.507, intensity 18
- d 2.461, intensity 18
- d 1.753, intensity 18

***

# 2
Theoretical PXRD pattern of Mn3NbCr2P6O24 for λ = 1.5418 Å (Cu Kα), from a crystal structure in the Materials Project, relaxed with PBE+U.

Atomic structure:
```
Mn3NbCr2P6O24
1.0
4.382 2.530 6.906
-4.382 2.530 6.906
0.000 -5.060 6.906
Mn Nb Cr P O
3 1 2 6 24
Cartesian
0.000 0.000 0.000 Mn
0.000 0.000 4.219 Mn
0.000 0.000 10.305 Mn
0.000 0.000 14.592 Nb
0.000 0.000 7.300 Cr
0.000 0.000 17.685 Cr
-3.033 0.266 8.988 P
-1.338 -2.321 12.413 P
1.286 -2.759 8.988 P
-1.341 2.319 12.413 P
1.747 2.494 8.988 P
2.679 0.002 12.413 P
-3.566 0.907 7.726 O
-2.881 -2.502 12.248 O
-0.860 -1.291 5.891 O
-3.389 0.959 10.268 O
-1.502 0.029 8.739 O
0.998 -3.542 7.726 O
-0.688 1.390 5.891 O
-0.841 -1.625 11.179 O
0.864 -3.415 10.268 O
0.726 -1.315 8.739 O
1.548 -0.099 5.891 O
-0.969 -1.363 13.642 O
-0.987 1.541 11.179 O
0.776 1.286 8.739 O
-1.486 -0.014 16.083 O
-0.696 1.521 13.642 O
1.828 0.084 11.179 O
-0.727 3.746 12.248 O
0.755 -1.280 16.083 O
1.665 -0.158 13.642 O
2.568 2.635 7.726 O
3.608 -1.244 12.248 O
2.525 2.456 10.268 O
0.731 1.294 16.083 O
```

Most intense lines, 2θ from 5° to 70°, in order of falling intensity:
- d 3.700, intensity 100
- d 4.382, intensity 87
- d 2.712, intensity 76
- d 2.530, intensity 46
- d 1.850, intensity 32
- d 1.493, intensity 26
- d 1.922, intensity 25
- d 1.656, intensity 24
- d 4.278, intensity 15
- d 2.842, intensity 13